The following is a theoretical powder X-ray diffraction pattern of SnSe2O6. It was derived from a cell relaxed with PBE, using Cu Kα.
No peak broadening, texture or thermal motion is included.

Peak list (10 most intense, 10° ≤ 2θ ≤ 90°, by intensity)
| 2θ (°) | I (rel.) | (hkl) |
| --- | --- | --- |
| 23.74 | 100 | 2 1 0 |
| 35.53 | 92 | 3 1 1 |
| 18.34 | 73 | 1 1 1 |
| 48.58 | 52 | 4 0 2 |
| 30.16 | 50 | 2 2 0 |
| 26.04 | 45 | 2 1 1 |
| 65.94 | 36 | 5 1 3 |
| 57.11 | 35 | 3 3 3 |
| 40.26 | 31 | 3 1 2 |
| 89.91 | 23 | 5 5 3 |

Structure:
abc: 8.3806 8.3806 8.3806
angles: 90.00 90.00 90.00
Space group Pa-3 (No. 205)
Inequivalent atoms, fractional coordinates:
Sn: 0.0000 0.0000 0.0000 (multiplicity 4)
Se: 0.1693 0.6693 0.8307 (multiplicity 8)
O: 0.0351 0.7432 0.4620 (multiplicity 24)

The following is a theoretical powder X-ray diffraction pattern of LaWN3. It was derived from a cell relaxed with PBE, using Cu Kα.
No peak broadening, texture or thermal motion is included.

Peak list (10 most intense, 10° ≤ 2θ ≤ 90°, by intensity)
| 2θ (°) | I (rel.) | (hkl) |
| --- | --- | --- |
| 31.37 | 100 | 0 2 -1 |
| 30.75 | 29 | -1 1 1 |
| 29.57 | 26 | 1 -1 1 |
| 55.09 | 15 | 2 0 -3 |
| 43.10 | 13 | 0 0 2 |
| 46.67 | 12 | 2 2 -2 |
| 43.26 | 10 | 2 -2 0 |
| 53.55 | 10 | 2 0 1 |
| 65.50 | 9 | 2 2 -4 |
| 56.22 | 9 | 1 3 -3 |

Structure:
abc: 5.7151 5.7170 5.7203
angles: 118.87 116.22 94.15
Space group P1 (No. 1)
Inequivalent atoms, fractional coordinates:
La: 0.0000 0.0000 0.0000 (multiplicity 1)
La: 0.4814 0.5039 0.0008 (multiplicity 1)
W: 0.3040 0.7323 0.5391 (multiplicity 1)
W: 0.7364 0.2453 0.4813 (multiplicity 1)
N: 0.0295 0.5190 0.0199 (multiplicity 1)
N: 0.0618 0.4182 0.5008 (multiplicity 1)
N: 0.4932 0.0022 0.0068 (multiplicity 1)
N: 0.5578 0.5069 0.5566 (multiplicity 1)
N: 0.5832 0.9585 0.5217 (multiplicity 1)
N: 0.9722 0.7463 0.2292 (multiplicity 1)

The following is a theoretical powder X-ray diffraction pattern of LaPmAlAg. It was derived from a cell relaxed with PBE, using Cu Kα.
No peak broadening, texture or thermal motion is included.

Peak list (10 most intense, 10° ≤ 2θ ≤ 90°, by intensity)
| 2θ (°) | I (rel.) | (hkl) |
| --- | --- | --- |
| 33.45 | 100 | 2 2 0 |
| 59.80 | 37 | 4 2 2 |
| 48.04 | 18 | 4 0 0 |
| 80.12 | 16 | 6 2 0 |
| 23.49 | 14 | 2 0 0 |
| 70.29 | 11 | 4 4 0 |
| 20.30 | 9 | 1 1 1 |
| 54.14 | 6 | 4 2 0 |
| 39.45 | 5 | 3 1 1 |
| 41.28 | 4 | 2 2 2 |

Structure:
abc: 7.5759 7.5759 7.5759
angles: 90.00 90.00 90.00
Space group F-43m (No. 216)
Inequivalent atoms, fractional coordinates:
La: 0.0000 0.0000 0.0000 (multiplicity 4)
Pm: 0.0000 0.0000 0.5000 (multiplicity 4)
Al: 0.2500 0.2500 0.2500 (multiplicity 4)
Ag: 0.2500 0.2500 0.7500 (multiplicity 4)

The following is a theoretical powder X-ray diffraction pattern of BaSbAu. It was derived from a cell relaxed with PBE, using Cu Kα.
No peak broadening, texture or thermal motion is included.

Peak list (10 most intense, 10° ≤ 2θ ≤ 90°, by intensity)
| 2θ (°) | I (rel.) | (hkl) |
| --- | --- | --- |
| 28.53 | 100 | 1 1 2 |
| 36.52 | 61 | 1 3 0 |
| 28.07 | 49 | 0 2 2 |
| 53.85 | 40 | 1 3 4 |
| 37.61 | 28 | 2 0 0 |
| 18.81 | 27 | 0 0 2 |
| 38.16 | 27 | 0 0 4 |
| 47.58 | 23 | 2 2 2 |
| 54.66 | 19 | 2 0 4 |
| 41.39 | 15 | 1 3 2 |

Structure:
abc: 4.7832 8.6069 9.4333
angles: 90.00 90.00 90.00
Space group Immm (No. 71)
Inequivalent atoms, fractional coordinates:
Ba: 0.0000 0.0000 0.2438 (multiplicity 4)
Sb: 0.0000 0.3279 0.0000 (multiplicity 4)
Au: 0.0000 0.3389 0.5000 (multiplicity 4)

- Number 2 is which compound?
  LaWN3